# 1
For MgMn12O17F7, a structure optimized by DFT (GGA+U) gives the computed powder diffraction line list in this record (Cu Kα X-rays).

Structural model:
Cell: 4.790 5.733 15.043 Å, 91.84 92.24 90.97°
Fractional positions:
Mg 0.000 0.000 0.000
Mn 0.009 0.540 0.345
Mn 0.023 0.265 0.516
Mn 0.041 0.558 0.675
Mn 0.045 0.295 0.835
Mn 0.450 0.720 0.166
Mn 0.478 0.274 0.997
Mn 0.492 0.753 0.833
Mn 0.502 0.081 0.666
Mn 0.509 0.729 0.503
Mn 0.513 0.036 0.336
Mn 0.983 0.523 0.013
Mn 0.996 0.226 0.189
O 0.167 0.278 0.071
O 0.193 0.758 0.067
O 0.201 0.488 0.236
O 0.247 0.518 0.912
O 0.248 0.506 0.569
O 0.270 0.338 0.737
O 0.285 0.062 0.905
O 0.287 0.987 0.228
O 0.291 0.817 0.720
O 0.301 0.022 0.556
O 0.311 0.769 0.392
O 0.679 0.485 0.089
O 0.775 0.265 0.289
O 0.801 0.508 0.453
O 0.812 0.272 0.938
O 0.815 0.292 0.618
O 0.832 0.539 0.781
F 0.252 0.270 0.409
F 0.729 0.018 0.104
F 0.737 0.756 0.264
F 0.761 0.757 0.947
F 0.764 0.774 0.614
F 0.769 0.053 0.779
F 0.773 0.019 0.448

Principal peaks in the range 10 to 90 degrees two-theta, low angle first:
2θ/deg, I (rel.)
24.01, 74.3
24.45, 61.0
29.59, 100.0
29.86, 95.4
30.13, 76.5
31.10, 67.6
51.79, 59.8
54.05, 38.5



# 2
For Sr2GdMnCrO7, a structure optimized by DFT (GGA+U) gives the computed powder diffraction line list in this record (Cu Kα X-rays).

Structural model:
Cell: 10.482 10.482 10.482 Å, 158.79 158.79 30.17°
Fractional positions:
Sr 0.000 0.000 0.000
Sr 0.367 0.367 0.000
Gd 0.188 0.188 0.000
Mn 0.587 0.587 0.000
Cr 0.781 0.781 0.000
O 0.093 0.593 0.500
O 0.270 0.770 0.500
O 0.493 0.493 0.000
O 0.593 0.093 0.500
O 0.680 0.680 0.000
O 0.770 0.270 0.500
O 0.879 0.879 0.000

Principal peaks in the range 10 to 90 degrees two-theta, low angle first:
2θ/deg, I (rel.)
23.47, 17.4
32.05, 100.0
32.83, 63.0
42.62, 29.4
47.11, 37.2
56.62, 16.9
58.11, 36.8
67.01, 14.7



# 3
For Li2V2F7, a structure optimized by DFT (GGA+U) gives the computed powder diffraction line list in this record (Cu Kα X-rays).

Structural model:
Cell: 7.882 4.908 13.012 Å, 90.00 93.25 90.00°
Fractional positions:
Li 0.016 0.000 0.345
Li 0.063 0.978 0.813
Li 0.286 0.467 0.234
Li 0.440 0.986 0.409
Li 0.560 0.486 0.591
Li 0.714 0.967 0.766
Li 0.937 0.478 0.187
Li 0.984 0.500 0.655
V 0.171 0.498 0.452
V 0.172 0.980 0.042
V 0.341 0.974 0.669
V 0.428 0.477 0.887
V 0.572 0.977 0.113
V 0.659 0.474 0.331
V 0.828 0.480 0.958
V 0.829 0.998 0.548
F 0.024 0.213 0.938
F 0.057 0.829 0.517
F 0.086 0.649 0.306
F 0.127 0.234 0.153
F 0.156 0.746 0.709
F 0.227 0.744 0.924
F 0.237 0.163 0.371
F 0.252 0.285 0.590
F 0.286 0.199 0.793
F 0.339 0.763 0.133
F 0.387 0.206 0.016
F 0.400 0.761 0.540
F 0.431 0.641 0.345
F 0.488 0.724 0.759
F 0.512 0.224 0.241
F 0.569 0.141 0.655
F 0.600 0.261 0.460
F 0.613 0.706 0.984
F 0.661 0.263 0.867
F 0.714 0.699 0.207
F 0.748 0.785 0.410
F 0.763 0.663 0.629
F 0.773 0.244 0.076
F 0.844 0.246 0.291
F 0.873 0.734 0.847
F 0.914 0.149 0.694
F 0.943 0.329 0.483
F 0.976 0.713 0.062

Principal peaks in the range 10 to 90 degrees two-theta, low angle first:
2θ/deg, I (rel.)
13.63, 33.2
22.71, 100.0
29.30, 55.2
30.21, 66.2
39.21, 44.1
40.36, 42.3
41.35, 32.5
52.12, 44.3



# 4
For KLaZrVO6, a structure optimized by DFT (GGA+U) gives the computed powder diffraction line list in this record (Cu Kα X-rays).

Structural model:
Cell: 5.701 5.701 5.701 Å, 60.00 60.00 60.00°
Fractional positions:
K 0.000 0.000 0.000
La 0.500 0.500 0.500
Zr 0.250 0.250 0.250
V 0.750 0.750 0.750
O 0.509 0.509 0.991
O 0.509 0.991 0.509
O 0.509 0.991 0.991
O 0.991 0.509 0.509
O 0.991 0.509 0.991
O 0.991 0.991 0.509

Principal peaks in the range 10 to 90 degrees two-theta, low angle first:
2θ/deg, I (rel.)
19.06, 27.9
31.38, 100.0
36.98, 17.5
44.97, 36.9
49.26, 8.5
55.86, 37.9
65.49, 21.3
74.42, 16.2



# 5
For Fe3P2O10, a structure optimized by DFT (GGA+U) gives the computed powder diffraction line list in this record (Cu Kα X-rays).

Structural model:
Cell: 7.301 7.301 5.165 Å, 109.25 109.25 43.98°
Fractional positions:
Fe 0.000 0.000 0.000
Fe 0.000 0.500 0.000
Fe 0.500 0.000 0.000
P 0.387 0.387 0.636
P 0.613 0.613 0.364
O 0.142 0.142 0.947
O 0.213 0.686 0.713
O 0.299 0.299 0.776
O 0.314 0.787 0.287
O 0.328 0.328 0.313
O 0.672 0.672 0.687
O 0.686 0.213 0.713
O 0.701 0.701 0.224
O 0.787 0.314 0.287
O 0.858 0.858 0.053

Principal peaks in the range 10 to 90 degrees two-theta, low angle first:
2θ/deg, I (rel.)
18.38, 79.0
26.69, 44.2
26.92, 34.1
27.38, 75.3
27.68, 100.0
38.01, 36.6
42.90, 28.5
43.79, 29.5



# 6
For Li9Mn2Co5O16, a structure optimized by DFT (GGA+U) gives the computed powder diffraction line list in this record (Cu Kα X-rays).

Structural model:
Cell: 5.897 6.469 7.849 Å, 87.96 76.46 76.61°
Fractional positions:
Li 0.000 0.000 0.000
Li 0.005 0.484 0.494
Li 0.129 0.366 0.122
Li 0.246 0.244 0.741
Li 0.254 0.740 0.246
Li 0.490 0.487 0.482
Li 0.496 0.006 0.002
Li 0.753 0.737 0.246
Li 0.760 0.245 0.755
Mn 0.123 0.871 0.620
Mn 0.883 0.620 0.877
Co 0.370 0.115 0.364
Co 0.383 0.621 0.876
Co 0.624 0.867 0.619
Co 0.627 0.369 0.122
Co 0.870 0.114 0.364
O 0.061 0.170 0.561
O 0.071 0.675 0.032
O 0.172 0.567 0.690
O 0.180 0.061 0.209
O 0.338 0.414 0.293
O 0.342 0.915 0.806
O 0.419 0.816 0.441
O 0.455 0.336 0.945
O 0.560 0.156 0.532
O 0.592 0.666 0.059
O 0.679 0.075 0.174
O 0.691 0.578 0.708
O 0.797 0.402 0.293
O 0.831 0.914 0.803
O 0.909 0.817 0.436
O 0.918 0.327 0.943

Principal peaks in the range 10 to 90 degrees two-theta, low angle first:
2θ/deg, I (rel.)
18.45, 100.0
35.18, 17.4
36.63, 24.0
42.31, 29.2
44.46, 25.2
44.58, 25.2
47.69, 8.7
62.99, 13.9



# 7
For MgFeP2O7, a structure optimized by DFT (GGA+U) gives the computed powder diffraction line list in this record (Cu Kα X-rays).

Structural model:
Cell: 7.078 8.493 9.215 Å, 90.00 112.67 90.00°
Fractional positions:
Mg 0.195 0.060 0.319
Mg 0.195 0.440 0.819
Mg 0.805 0.560 0.181
Mg 0.805 0.940 0.681
Fe 0.266 0.069 0.891
Fe 0.266 0.431 0.391
Fe 0.734 0.569 0.609
Fe 0.734 0.931 0.109
P 0.033 0.726 0.968
P 0.033 0.774 0.468
P 0.439 0.735 0.258
P 0.439 0.765 0.758
P 0.561 0.235 0.242
P 0.561 0.265 0.742
P 0.967 0.226 0.532
P 0.967 0.274 0.032
O 0.010 0.092 0.651
O 0.010 0.408 0.151
O 0.047 0.613 0.396
O 0.047 0.887 0.896
O 0.123 0.232 0.451
O 0.123 0.268 0.951
O 0.250 0.677 0.100
O 0.250 0.823 0.600
O 0.380 0.239 0.296
O 0.380 0.261 0.796
O 0.386 0.609 0.811
O 0.386 0.891 0.311
O 0.470 0.601 0.377
O 0.470 0.899 0.877
O 0.530 0.101 0.123
O 0.530 0.399 0.623
O 0.614 0.109 0.689
O 0.614 0.391 0.189
O 0.620 0.739 0.204
O 0.620 0.761 0.704
O 0.750 0.177 0.400
O 0.750 0.323 0.900
O 0.877 0.732 0.049
O 0.877 0.768 0.549
O 0.953 0.113 0.104
O 0.953 0.387 0.604
O 0.990 0.592 0.849
O 0.990 0.908 0.349

Principal peaks in the range 10 to 90 degrees two-theta, low angle first:
2θ/deg, I (rel.)
14.74, 10.6
17.12, 13.9
29.14, 100.0
29.27, 34.6
34.65, 13.8
40.69, 9.8
42.23, 18.8
57.60, 11.8